Starting from a structure optimized by DFT (PBE), the PXRD pattern of LaAl20Cr2 was calculated for λ = 1.5418 Å (Cu Kα).
Lines closer than 0.1° are merged.

Cell and atoms:
abc: 10.269 10.269 10.269
angles: 60.00 60.00 60.00
Fractional coordinates of all 46 atoms:
La1 0.125 0.125 0.125
La2 0.875 0.875 0.875
Al1 0.000 0.000 0.000
Al2 0.000 0.000 0.500
Al3 0.000 0.500 0.000
Al4 0.057 0.328 0.328
Al5 0.057 0.328 0.787
Al6 0.057 0.787 0.328
Al7 0.213 0.672 0.672
Al8 0.213 0.672 0.943
Al9 0.213 0.943 0.672
Al10 0.239 0.239 0.511
Al11 0.239 0.511 0.239
Al12 0.239 0.511 0.511
Al13 0.328 0.057 0.328
Al14 0.328 0.057 0.787
Al15 0.328 0.328 0.057
Al16 0.328 0.328 0.787
Al17 0.328 0.787 0.057
Al18 0.328 0.787 0.328
Al19 0.489 0.489 0.761
Al20 0.489 0.761 0.489
Al21 0.489 0.761 0.761
Al22 0.500 0.000 0.000
Al23 0.511 0.239 0.239
Al24 0.511 0.239 0.511
Al25 0.511 0.511 0.239
Al26 0.672 0.213 0.672
Al27 0.672 0.213 0.943
Al28 0.672 0.672 0.213
Al29 0.672 0.672 0.943
Al30 0.672 0.943 0.213
Al31 0.672 0.943 0.672
Al32 0.761 0.489 0.489
Al33 0.761 0.489 0.761
Al34 0.761 0.761 0.489
Al35 0.787 0.057 0.328
Al36 0.787 0.328 0.057
Al37 0.787 0.328 0.328
Al38 0.943 0.213 0.672
Al39 0.943 0.672 0.213
Al40 0.943 0.672 0.672
Cr1 0.000 0.500 0.500
Cr2 0.500 0.000 0.500
Cr3 0.500 0.500 0.000
Cr4 0.500 0.500 0.500

Peak list (12 most intense, 5° ≤ 2θ ≤ 70°, sorted by position)
- 2θ 17.3, intensity 50
- 2θ 20.3, intensity 93
- 2θ 30.1, intensity 26
- 2θ 34.9, intensity 49
- 2θ 36.6, intensity 100
- 2θ 39.2, intensity 68
- 2θ 40.7, intensity 99
- 2θ 41.2, intensity 77
- 2θ 48.1, intensity 23
- 2θ 53.5, intensity 48
- 2θ 63.8, intensity 19
- 2θ 65.6, intensity 26


Starting from a structure optimized by DFT (PBE), the PXRD pattern of LuAl6Cr6 was calculated for λ = 1.5418 Å (Cu Kα).
Lines closer than 0.1° are merged.

Cell and atoms:
abc: 6.662 6.662 6.662
angles: 135.50 98.93 97.56
Fractional coordinates of all 13 atoms:
Lu1 0.000 0.000 0.000
Al1 0.195 0.500 0.695
Al2 0.331 0.331 0.000
Al3 0.346 0.000 0.346
Al4 0.654 0.000 0.654
Al5 0.669 0.669 0.000
Al6 0.805 0.500 0.305
Cr1 0.000 0.000 0.500
Cr2 0.000 0.500 0.000
Cr3 0.238 0.738 0.500
Cr4 0.500 0.000 0.000
Cr5 0.500 0.500 0.500
Cr6 0.762 0.262 0.500

Peak list (12 most intense, 5° ≤ 2θ ≤ 70°, sorted by position)
- 2θ 14.4, intensity 55
- 2θ 20.3, intensity 29
- 2θ 28.9, intensity 46
- 2θ 29.0, intensity 49
- 2θ 32.3, intensity 15
- 2θ 35.5, intensity 20
- 2θ 41.1, intensity 35
- 2θ 41.3, intensity 59
- 2θ 41.5, intensity 100
- 2θ 41.7, intensity 27
- 2θ 46.5, intensity 15
- 2θ 59.8, intensity 23


Starting from a structure optimized by DFT (PBE), the PXRD pattern of LuAl8Cr4 was calculated for λ = 1.5418 Å (Cu Kα).
Lines closer than 0.1° are merged.

Cell and atoms:
abc: 6.759 6.759 6.759
angles: 98.07 98.07 135.99
Fractional coordinates of all 13 atoms:
Lu1 0.000 0.000 0.000
Al1 0.000 0.335 0.335
Al2 0.000 0.665 0.665
Al3 0.279 0.500 0.779
Al4 0.335 0.000 0.335
Al5 0.500 0.279 0.779
Al6 0.500 0.721 0.221
Al7 0.665 0.000 0.665
Al8 0.721 0.500 0.221
Cr1 0.000 0.000 0.500
Cr2 0.000 0.500 0.000
Cr3 0.500 0.000 0.000
Cr4 0.500 0.500 0.500

Peak list (12 most intense, 5° ≤ 2θ ≤ 70°, sorted by position)
- 2θ 14.1, intensity 43
- 2θ 20.2, intensity 38
- 2θ 28.5, intensity 26
- 2θ 28.6, intensity 47
- 2θ 31.9, intensity 23
- 2θ 35.2, intensity 35
- 2θ 40.8, intensity 100
- 2θ 41.1, intensity 60
- 2θ 48.4, intensity 14
- 2θ 59.0, intensity 14
- 2θ 59.2, intensity 23
- 2θ 66.8, intensity 16